# 1
Starting from a DFT-relaxed cell (PBE, Alexandria), the powder diffractogram of Al4Ga3 was simulated for a wavelength of 1.5418 Å.
No peak broadening, texture or thermal motion is included.

Principal peaks in the range 2θ = 5–70°, by intensity:
index  2theta  Rel. int.
1 1 0  37.59  100
0 1 7  38.52  93
1 0 7  43.47  66
1 2 7  64.91  39
0 1 1  22.83  35
0 2 0  45.71  28
1 0 1  30.12  18
0 0 6  26.42  13
1 1 6  46.53  11
2 0 0  61.87  11
0 0 14  64.45  10
0 0 2  8.74  7

Structural model:
a b c (Å): 2.9994 3.9697 20.2411
angles (deg): 90.00 90.00 90.00
Positions (direct):
Al (0.0000, 0.0000, 0.0717)
Al (0.0000, 0.0000, 0.2149)
Al (0.0000, 0.0000, 0.7851)
Al (0.0000, 0.0000, 0.9283)
Al (0.5000, 0.5000, 0.2851)
Al (0.5000, 0.5000, 0.4283)
Al (0.5000, 0.5000, 0.5717)
Al (0.5000, 0.5000, 0.7149)
Ga (0.0000, 0.0000, 0.3563)
Ga (0.0000, 0.0000, 0.5000)
Ga (0.0000, 0.0000, 0.6437)
Ga (0.5000, 0.5000, 0.0000)
Ga (0.5000, 0.5000, 0.1437)
Ga (0.5000, 0.5000, 0.8563)

# 2
Starting from a DFT-relaxed cell (PBE, Alexandria), the powder diffractogram of Pm6TmMg5 was simulated for a wavelength of 1.5418 Å.
No peak broadening, texture or thermal motion is included.

Principal peaks in the range 2θ = 5–70°, by intensity:
index  2theta  Rel. int.
2 0 -1  32.57  100
1 0 1  22.82  24
0 0 3  32.37  20
1 2 4  57.86  15
3 2 0  58.10  15
3 2 -3  58.19  15
2 0 2  46.61  15
0 2 0  22.91  12
2 4 2  68.20  9
3 0 0  52.68  8
0 4 0  46.81  7
0 2 3  40.03  6

Structural model:
a b c (Å): 5.4928 7.7626 8.7365
angles (deg): 90.00 108.25 90.00
Positions (direct):
Pm (0.0000, 0.2407, 0.0000)
Pm (0.0000, 0.7593, 0.0000)
Pm (0.3327, 0.2482, 0.6609)
Pm (0.3327, 0.7518, 0.6609)
Pm (0.6673, 0.2482, 0.3391)
Pm (0.6673, 0.7518, 0.3391)
Tm (0.5000, 0.5000, 0.0000)
Mg (0.1591, 0.5000, 0.3236)
Mg (0.1638, 0.0000, 0.3340)
Mg (0.5000, 0.0000, 0.0000)
Mg (0.8362, 0.0000, 0.6660)
Mg (0.8409, 0.5000, 0.6764)